Starting from DFT lattice parameters and positions (GGA-PBE), the PXRD pattern of PrThTc was simulated for Cu Ka.
Peak positions follow from Bragg's law for the DFT cell and can differ from measured ones.

a = 4.6443 Å, b = 4.6443 Å, c = 27.3643 Å
α = 90.00°, β = 90.00°, γ = 120.00°
Space group R-3m (No. 166, hexagonal axes)
Asymmetric unit:
1 Pr 0.0000 0.0000 0.1287
2 Th 0.0000 0.0000 0.2906
3 Tc 0.0000 0.0000 0.4068

The 12 most intense peaks (2θ from 10° to 80°), in order of falling intensity:
- hkl 1 0 7, 31.9 deg, d 2.803, intensity 100.0
- hkl 1 1 0, 38.8 deg, d 2.322, intensity 84.0
- hkl 0 1 5, 27.5 deg, d 3.241, intensity 38.7
- hkl 0 1 2, 23.0 deg, d 3.859, intensity 37.9
- hkl 0 2 7, 51.1 deg, d 1.788, intensity 27.1
- hkl 2 1 7, 65.9 deg, d 1.417, intensity 25.3
- hkl 1 1 12, 56.6 deg, d 1.627, intensity 21.6
- hkl 1 0 10, 39.8 deg, d 2.262, intensity 21.5
- hkl 3 0 0, 70.2 deg, d 1.341, intensity 14.8
- hkl 0 1 17, 62.1 deg, d 1.494, intensity 12.0
- hkl 1 0 4, 25.7 deg, d 3.467, intensity 10.7
- hkl 0 0 12, 39.5 deg, d 2.280, intensity 10.0

---

Starting from DFT lattice parameters and positions (GGA-PBE), the PXRD pattern of Tl2Sb2PdAu2 was simulated for Cu Ka.
Peak positions follow from Bragg's law for the DFT cell and can differ from measured ones.

a = 4.5898 Å, b = 5.8561 Å, c = 6.9111 Å
α = 84.05°, β = 70.98°, γ = 87.07°
Space group P-1 (No. 2)
Asymmetric unit:
1 Tl 0.0638 0.2423 0.4029
2 Sb 0.3153 0.2426 0.8650
3 Pd 0.5000 0.5000 0.5000
4 Au 0.3043 0.7408 0.8892

The 12 most intense peaks (2θ from 10° to 80°), in order of falling intensity:
- hkl 0 2 0, 30.7 deg, d 2.912, intensity 100.0
- hkl 2 0 1, 39.3 deg, d 2.292, intensity 78.7
- hkl 1 0 2, 28.5 deg, d 3.133, intensity 77.7
- hkl 1 2 2, 40.1 deg, d 2.251, intensity 76.6
- hkl 1 0 -1, 28.2 deg, d 3.168, intensity 66.5
- hkl -1 2 1, 41.4 deg, d 2.178, intensity 52.1
- hkl 0 1 -1, 21.4 deg, d 4.153, intensity 41.4
- hkl 1 -2 2, 44.6 deg, d 2.032, intensity 40.4
- hkl 1 2 -1, 42.8 deg, d 2.111, intensity 37.8
- hkl -1 1 1, 31.7 deg, d 2.821, intensity 35.6
- hkl 1 1 2, 31.0 deg, d 2.885, intensity 32.5
- hkl 1 0 -2, 39.6 deg, d 2.274, intensity 31.6